No. 1
Calculated powder diffraction line list
Compound: CeHS2
Radiation: λ = 1.5418 Å (Cu Kα)
Structure: the GGA-PBE geometry in Alexandria
Neutral-atom scattering factors, no anomalous dispersion.

Atomic structure:
```
CeHS2
1.0
2.1507 -8.7327 0.0000
2.1507 8.7327 0.0000
0.0000 0.0000 5.5064
Ce H S
2 2 4
Cartesian
2.1507 5.5776 2.7532
2.1507 -5.5776 0.0000
2.1507 0.5228 0.8305
2.1507 -0.5228 3.5837
2.1507 5.0415 5.5014
2.1507 1.2646 5.1837
2.1507 -1.2646 2.4305
2.1507 -5.0415 2.7482
```

Largest 6 diffraction maxima, in order of rising 2θ, 2θ = 10–90°:
two_theta	Rel. int.
10.13	100
19.05	71
25.75	69
26.79	28
33.03	36
41.94	35

No. 2
Calculated powder diffraction line list
Compound: CeHS
Radiation: λ = 1.5418 Å (Cu Kα)
Structure: the GGA-PBE geometry in Alexandria
Neutral-atom scattering factors, no anomalous dispersion.

Atomic structure:
```
CeHS
1.0
4.2820 -4.0921 0.0000
4.2820 4.0921 0.0000
-3.5644 0.0000 5.7510
Ce H S
4 4 4
Cartesian
1.6087 3.2256 4.3133
3.3909 1.2587 1.4378
1.6087 -1.2587 4.3133
3.3909 -3.2256 1.4378
3.5535 3.1213 0.2326
3.2284 3.1213 2.6429
1.7713 -3.1213 3.1081
1.4462 -3.1213 5.5184
-0.2165 0.9906 4.3480
1.5657 -0.9906 1.4725
3.4340 0.9906 4.2786
5.2162 -0.9906 1.4030
```

Largest 6 diffraction maxima, in order of rising 2θ, 2θ = 10–90°:
two_theta	Rel. int.
24.46	40
26.74	51
30.32	100
31.10	53
41.97	41
45.95	32